# 1
# MgMo3O7
Computed X-ray powder pattern, Cu Kα (λ = 1.5418 Å). Input: a crystal structure in the Materials Project, relaxed with PBE+U.
Intensities are scaled so that the largest is 100.

Structural model:
a b c (Å): 9.953 11.030 5.765
angles (deg): 90.00 90.00 90.00
Sites, in units of the cell vectors:
Mg 0.067 0.250 0.122
Mg 0.433 0.750 0.622
Mg 0.567 0.250 0.378
Mg 0.933 0.750 0.878
Mo 0.173 0.520 0.697
Mo 0.173 0.980 0.697
Mo 0.204 0.750 0.209
Mo 0.296 0.250 0.709
Mo 0.327 0.020 0.197
Mo 0.327 0.480 0.197
Mo 0.673 0.520 0.803
Mo 0.673 0.980 0.803
Mo 0.704 0.750 0.291
Mo 0.796 0.250 0.791
Mo 0.827 0.020 0.303
Mo 0.827 0.480 0.303
O 0.013 0.601 0.730
O 0.013 0.899 0.730
O 0.020 0.750 0.196
O 0.222 0.117 0.946
O 0.222 0.383 0.946
O 0.246 0.117 0.480
O 0.246 0.383 0.480
O 0.254 0.617 0.980
O 0.254 0.883 0.980
O 0.278 0.617 0.446
O 0.278 0.883 0.446
O 0.480 0.250 0.696
O 0.487 0.101 0.230
O 0.487 0.399 0.230
O 0.513 0.601 0.770
O 0.513 0.899 0.770
O 0.520 0.750 0.304
O 0.722 0.117 0.554
O 0.722 0.383 0.554
O 0.746 0.117 0.020
O 0.746 0.383 0.020
O 0.754 0.617 0.520
O 0.754 0.883 0.520
O 0.778 0.617 0.054
O 0.778 0.883 0.054
O 0.980 0.250 0.804
O 0.987 0.101 0.270
O 0.987 0.399 0.270

Main lines, by angle (10 to 90 degrees two-theta):
- 2θ 17.82, rel. 62
- 2θ 24.98, rel. 23
- 2θ 28.70, rel. 100
- 2θ 28.80, rel. 36
- 2θ 31.03, rel. 23
- 2θ 32.47, rel. 18
- 2θ 42.85, rel. 35
- 2θ 45.53, rel. 21
- 2θ 49.26, rel. 21
- 2θ 55.65, rel. 22



# 2
# MgMo2O4
Computed X-ray powder pattern, Cu Kα (λ = 1.5418 Å). Input: a crystal structure in the Materials Project, relaxed with PBE+U.
Intensities are scaled so that the largest is 100.

Structural model:
a b c (Å): 6.357 6.357 6.357
angles (deg): 60.00 60.00 60.00
Sites, in units of the cell vectors:
Mg 0.125 0.125 0.125
Mg 0.875 0.875 0.875
Mo 0.000 0.500 0.500
Mo 0.500 0.000 0.500
Mo 0.500 0.500 0.000
Mo 0.500 0.500 0.500
O 0.257 0.257 0.257
O 0.257 0.257 0.729
O 0.257 0.729 0.257
O 0.271 0.743 0.743
O 0.729 0.257 0.257
O 0.743 0.271 0.743
O 0.743 0.743 0.271
O 0.743 0.743 0.743

Main lines, by angle (10 to 90 degrees two-theta):
- 2θ 17.08, rel. 93
- 2θ 33.05, rel. 100
- 2θ 34.56, rel. 38
- 2θ 40.12, rel. 60
- 2θ 43.90, rel. 18
- 2θ 52.92, rel. 37
- 2θ 58.04, rel. 54
- 2θ 60.97, rel. 17
- 2θ 69.34, rel. 18
- 2θ 82.40, rel. 20



# 3
# Mg3Mo2O7
Computed X-ray powder pattern, Cu Kα (λ = 1.5418 Å). Input: a crystal structure in the Materials Project, relaxed with PBE+U.
Intensities are scaled so that the largest is 100.

Structural model:
a b c (Å): 9.744 9.744 5.415
angles (deg): 90.00 90.00 31.92
Sites, in units of the cell vectors:
Mg 0.080 0.520 0.580
Mg 0.232 0.768 0.500
Mg 0.480 0.920 0.580
Mg 0.520 0.080 0.080
Mg 0.768 0.232 0.000
Mg 0.920 0.480 0.080
Mo 0.144 0.646 0.031
Mo 0.354 0.856 0.031
Mo 0.646 0.144 0.531
Mo 0.856 0.354 0.531
O 0.053 0.217 0.848
O 0.127 0.873 0.124
O 0.158 0.426 0.952
O 0.217 0.053 0.348
O 0.333 0.512 0.702
O 0.426 0.158 0.452
O 0.488 0.667 0.702
O 0.512 0.333 0.202
O 0.574 0.842 0.952
O 0.667 0.488 0.202
O 0.783 0.947 0.848
O 0.842 0.574 0.452
O 0.873 0.127 0.624
O 0.947 0.783 0.348

Main lines, by angle (10 to 90 degrees two-theta):
- 2θ 18.95, rel. 32
- 2θ 23.84, rel. 52
- 2θ 27.43, rel. 12
- 2θ 33.09, rel. 24
- 2θ 33.53, rel. 100
- 2θ 47.76, rel. 21
- 2θ 48.59, rel. 11
- 2θ 49.93, rel. 13
- 2θ 59.40, rel. 21
- 2θ 59.86, rel. 24